# La6Ni2PtCl3
Calculated powder diffractogram, Cu Kα. Input: a crystal structure in Alexandria, relaxed with GGA-PBE.
No peak broadening, texture or thermal motion is included.

Most intense lines, 2θ from 5° to 70°, most intense first:
2θ = 29.18°, rel. 1000; 2θ = 11.70°, rel. 552; 2θ = 29.44°, rel. 486; 2θ = 40.39°, rel. 454; 2θ = 43.41°, rel. 363; 2θ = 37.14°, rel. 193; 2θ = 43.08°, rel. 186; 2θ = 53.04°, rel. 184; 2θ = 50.97°, rel. 150; 2θ = 25.80°, rel. 130

Atomic structure:
Unit cell a=7.2560 b=7.2560 c=7.9272 alpha=98.52 beta=98.52 gamma=120.48
Sites, in units of the cell vectors:
1 La 0.0891 0.4307 0.7953
2 La 0.2264 0.2264 0.2049
3 La 0.4307 0.0891 0.7953
4 La 0.5693 0.9109 0.2047
5 La 0.7736 0.7736 0.7951
6 La 0.9109 0.5693 0.2047
7 Ni 0.1666 0.8334 0.0000
8 Ni 0.8334 0.1666 0.0000
9 Pt 0.5000 0.5000 0.0000
10 Cl 0.0000 0.0000 0.5000
11 Cl 0.3295 0.6705 0.5000
12 Cl 0.6705 0.3295 0.5000